Starting from a GGA+U-relaxed structure, the powder X-ray diffraction pattern of FeBiC6N6O4 was computed for Cu Kα X-rays.
Kinematic intensities with the Lorentz-polarization factor, no thermal factor.

Cell and atoms:
```
data_FeBiC6N6O4
_chemical_formula_sum 'Fe2 Bi2 C12 N12 O8'
_cell_length_a 8.0545
_cell_length_b 8.0545
_cell_length_c 13.9245
_cell_angle_alpha 90.00
_cell_angle_beta 90.00
_cell_angle_gamma 122.53
_space_group_name_H-M_alt 'P 1'
_space_group_IT_number 1
_space_group_name_Hall 'P 1'
loop_
_atom_site_label
_atom_site_type_symbol
_atom_site_fract_x
_atom_site_fract_y
_atom_site_fract_z
Fe1 Fe 0.0000 0.0000 0.0000
Fe2 Fe 0.0000 0.0000 0.5000
Bi1 Bi 0.3342 0.6658 0.7500
Bi2 Bi 0.6658 0.3342 0.2500
C1 C 0.1381 0.8619 0.5684
C2 C 0.1381 0.8619 0.9316
C3 C 0.1487 0.2501 0.5973
C4 C 0.1487 0.2501 0.9027
C5 C 0.2501 0.1487 0.0973
C6 C 0.2501 0.1487 0.4027
C7 C 0.7499 0.8513 0.5973
C8 C 0.7499 0.8513 0.9027
C9 C 0.8513 0.7499 0.0973
C10 C 0.8513 0.7499 0.4027
C11 C 0.8619 0.1381 0.0684
C12 C 0.8619 0.1381 0.4316
N1 N 0.2107 0.7893 0.6091
N2 N 0.2107 0.7893 0.8909
N3 N 0.2234 0.3887 0.6471
N4 N 0.2234 0.3887 0.8529
N5 N 0.3887 0.2234 0.1471
N6 N 0.3887 0.2234 0.3529
N7 N 0.6113 0.7766 0.6471
N8 N 0.6113 0.7766 0.8529
N9 N 0.7766 0.6113 0.1471
N10 N 0.7766 0.6113 0.3529
N11 N 0.7893 0.2107 0.1091
N12 N 0.7893 0.2107 0.3909
O1 O 0.1670 0.5704 0.2500
O2 O 0.3239 0.6761 0.1768
O3 O 0.3239 0.6761 0.3232
O4 O 0.4296 0.8330 0.2500
O5 O 0.5704 0.1670 0.7500
O6 O 0.6761 0.3239 0.6768
O7 O 0.6761 0.3239 0.8232
O8 O 0.8330 0.4296 0.7500
```

Largest 12 diffraction maxima, most intense first, 15° ≤ 2θ ≤ 90°:
d (Å), I/Imax
4.861, 100
4.023, 63
4.958, 51
3.483, 50
2.632, 43
3.874, 39
2.740, 33
2.589, 24
2.153, 22
3.390, 20
3.052, 19
2.011, 18